[1]
For MgZnAu, the PBE geometry in Alexandria gives the computed XRD peak list in this record (Cu Ka).
Intensities are scaled so that the largest is 100.

Structure:
```
data_MgZnAu
_space_group_name_H-M_alt 'P 63/m m c'
_space_group_IT_number 194
_space_group_name_Hall '-P 6c 2c'
_cell_length_a 4.5179
_cell_length_b 4.5179
_cell_length_c 5.9560
_cell_angle_alpha 90.00
_cell_angle_beta 90.00
_cell_angle_gamma 120.00
loop_
_atom_site_label
_atom_site_type_symbol
_atom_site_fract_x
_atom_site_fract_y
_atom_site_fract_z
Mg1 Mg 0.0000 0.0000 0.0000
Zn1 Zn 0.3333 0.6667 0.2500
Au1 Au 0.3333 0.6667 0.7500
```

The 8 most intense peaks (5° ≤ 2θ ≤ 70°), low angle first:
22.73°, d 3.913, I = 56.7, hkl 1 0 0; 27.27°, d 3.270, I = 73.3, hkl 1 0 1; 30.01°, d 2.978, I = 48.5, hkl 0 0 2; 37.97°, d 2.370, I = 67.8, hkl 1 0 2; 39.91°, d 2.259, I = 100.0, hkl 1 1 0; 49.01°, d 1.859, I = 15.9, hkl 2 0 1; 50.73°, d 1.800, I = 68.5, hkl 1 1 2; 56.26°, d 1.635, I = 21.4, hkl 2 0 2

[2]
For KSr3Pd, the PBE geometry in Alexandria gives the computed XRD peak list in this record (Cu Ka).
Intensities are scaled so that the largest is 100.

Structure:
```
data_KSr3Pd
_space_group_name_H-M_alt 'R -3'
_space_group_IT_number 148
_space_group_name_Hall '-R 3'
_cell_length_a 7.5722
_cell_length_b 7.5722
_cell_length_c 32.7190
_cell_angle_alpha 90.00
_cell_angle_beta 90.00
_cell_angle_gamma 120.00
loop_
_atom_site_label
_atom_site_type_symbol
_atom_site_fract_x
_atom_site_fract_y
_atom_site_fract_z
K1 K 0.0000 0.0000 0.1668
Sr1 Sr 0.0033 0.3403 0.0515
Pd1 Pd 0.0000 0.0000 0.3324
```

The 8 most intense peaks (5° ≤ 2θ ≤ 70°), low angle first:
8.11°, d 10.906, I = 100.0, hkl 0 0 3; 24.89°, d 3.577, I = 37.1, hkl 1 1 3; 28.70°, d 3.110, I = 61.3, hkl 2 -1 6; 34.19°, d 2.622, I = 18.7, hkl 2 -1 9; 40.78°, d 2.213, I = 23.3, hkl 1 1 12; 41.30°, d 2.186, I = 22.9, hkl 3 0 0; 42.16°, d 2.143, I = 11.9, hkl 3 0 3; 51.07°, d 1.788, I = 11.8, hkl 2 2 6

[3]
For CaTlCd10, the PBE geometry in Alexandria gives the computed XRD peak list in this record (Cu Ka).
Intensities are scaled so that the largest is 100.

Structure:
```
data_CaTlCd10
_space_group_name_H-M_alt 'P m m m'
_space_group_IT_number 47
_cell_length_a 4.9536
_cell_length_b 6.0233
_cell_length_c 10.2127
_cell_angle_alpha 90.00
_cell_angle_beta 90.00
_cell_angle_gamma 90.00
loop_
_space_group_symop_operation_xyz
'x,y,z'
'-x,-y,-z'
'-x,-y,z'
'x,y,-z'
'x,-y,-z'
'-x,y,z'
'-x,y,-z'
'x,-y,z'
loop_
_atom_site_label
_atom_site_type_symbol
_atom_site_fract_x
_atom_site_fract_y
_atom_site_fract_z
Ca1 Ca 0.0000 0.0000 0.0000
Tl1 Tl 0.0000 0.5000 0.5000
Cd1 Cd 0.0000 0.0000 0.3358
Cd2 Cd 0.0000 0.5000 0.1700
Cd3 Cd 0.5000 0.0000 0.5000
Cd4 Cd 0.5000 0.2434 0.2419
Cd5 Cd 0.5000 0.5000 0.0000
```

The 8 most intense peaks (5° ≤ 2θ ≤ 70°), low angle first:
30.16°, d 2.964, I = 19.1, hkl 0 1 3; 34.58°, d 2.594, I = 29.3, hkl 0 2 2; 34.86°, d 2.573, I = 51.3, hkl 1 2 0; 35.29°, d 2.543, I = 100.0, hkl 1 1 3; 36.27°, d 2.477, I = 51.5, hkl 2 0 0; 39.20°, d 2.298, I = 39.0, hkl 1 2 2; 56.35°, d 1.633, I = 24.4, hkl 1 3 3; 62.70°, d 1.482, I = 19.0, hkl 0 2 6

[4]
For LaY2ThAs4, the PBE geometry in Alexandria gives the computed XRD peak list in this record (Cu Ka).
Intensities are scaled so that the largest is 100.

Structure:
```
data_LaY2ThAs4
_space_group_name_H-M_alt 'P 1 2/m 1'
_space_group_IT_number 10
_cell_length_a 7.2734
_cell_length_b 4.2257
_cell_length_c 7.3239
_cell_angle_alpha 90.00
_cell_angle_beta 109.51
_cell_angle_gamma 90.00
loop_
_space_group_symop_operation_xyz
'x,y,z'
'-x,-y,-z'
'-x,y,-z'
'x,-y,z'
loop_
_atom_site_label
_atom_site_type_symbol
_atom_site_fract_x
_atom_site_fract_y
_atom_site_fract_z
La1 La 0.0000 0.0000 0.0000
Y1 Y 0.5000 0.0000 0.5000
Y2 Y 0.5000 0.5000 0.0000
Th1 Th 0.0000 0.5000 0.5000
As1 As 0.2581 0.0000 0.7492
As2 As 0.2600 0.5000 0.2575
```

The 8 most intense peaks (5° ≤ 2θ ≤ 70°), low angle first:
12.89°, d 6.868, I = 10.3, hkl 1 0 0; 24.71°, d 3.603, I = 8.3, hkl 0 1 1; 25.83°, d 3.449, I = 10.6, hkl 0 0 2; 29.96°, d 2.982, I = 100.0, hkl 1 1 1; 42.78°, d 2.114, I = 37.7, hkl 0 2 0; 42.99°, d 2.104, I = 36.9, hkl 3 1 -1; 53.11°, d 1.724, I = 19.9, hkl 2 2 -2; 62.27°, d 1.491, I = 12.2, hkl 2 2 2

[5]
For RbSmF4, the PBE geometry in Alexandria gives the computed XRD peak list in this record (Cu Ka).
Intensities are scaled so that the largest is 100.

Structure:
```
data_RbSmF4
_space_group_name_H-M_alt 'C m c 21'
_space_group_IT_number 36
_cell_length_a 4.5424
_cell_length_b 18.4182
_cell_length_c 6.5467
_cell_angle_alpha 90.00
_cell_angle_beta 90.00
_cell_angle_gamma 90.00
loop_
_space_group_symop_operation_xyz
'x,y,z'
'-x,-y,z+1/2'
'-x,y,z'
'x,-y,z+1/2'
'x+1/2,y+1/2,z'
'-x+1/2,-y+1/2,z+1/2'
'-x+1/2,y+1/2,z'
'x+1/2,-y+1/2,z+1/2'
loop_
_atom_site_label
_atom_site_type_symbol
_atom_site_fract_x
_atom_site_fract_y
_atom_site_fract_z
Rb1 Rb 0.0000 0.1932 0.0000
Sm1 Sm 0.0000 0.4139 0.0046
F1 F 0.0000 0.0853 0.5059
F2 F 0.0000 0.3249 0.2336
F3 F 0.0000 0.3280 0.7673
F4 F 0.0000 0.4967 0.2642
```

The 8 most intense peaks (5° ≤ 2θ ≤ 70°), low angle first:
16.61°, d 5.336, I = 43.1, hkl 0 2 1; 20.13°, d 4.410, I = 42.3, hkl 1 1 0; 23.62°, d 3.766, I = 100.0, hkl 0 4 1; 24.34°, d 3.657, I = 90.2, hkl 1 1 1; 27.24°, d 3.273, I = 27.0, hkl 0 0 2; 39.68°, d 2.271, I = 25.1, hkl 2 0 0; 41.94°, d 2.154, I = 53.2, hkl 1 5 2; 46.70°, d 1.945, I = 31.3, hkl 2 4 1

[6]
For Ca3Bi8Pd4, the PBE geometry in Alexandria gives the computed XRD peak list in this record (Cu Ka).
Intensities are scaled so that the largest is 100.

Structure:
```
data_Ca3Bi8Pd4
_space_group_name_H-M_alt 'P b a m'
_space_group_IT_number 55
_cell_length_a 10.9282
_cell_length_b 17.1741
_cell_length_c 4.2501
_cell_angle_alpha 90.00
_cell_angle_beta 90.00
_cell_angle_gamma 90.00
loop_
_space_group_symop_operation_xyz
'x,y,z'
'-x,-y,-z'
'-x,-y,z'
'x,y,-z'
'x+1/2,-y+1/2,-z'
'-x+1/2,y+1/2,z'
'-x+1/2,y+1/2,-z'
'x+1/2,-y+1/2,z'
loop_
_atom_site_label
_atom_site_type_symbol
_atom_site_fract_x
_atom_site_fract_y
_atom_site_fract_z
Ca1 Ca 0.0000 0.0000 0.0000
Ca2 Ca 0.1417 0.3015 0.0000
Bi1 Bi 0.1073 0.1423 0.5000
Bi2 Bi 0.1113 0.7138 0.5000
Bi3 Bi 0.1302 0.5389 0.0000
Bi4 Bi 0.1955 0.9153 0.5000
Pd1 Pd 0.0461 0.4214 0.5000
Pd2 Pd 0.0695 0.8245 0.0000
```

The 8 most intense peaks (5° ≤ 2θ ≤ 70°), low angle first:
17.49°, d 5.071, I = 21.8, hkl 1 3 0; 20.90°, d 4.250, I = 18.8, hkl 0 0 1; 30.72°, d 2.911, I = 100.0, hkl 1 4 1; 30.89°, d 2.894, I = 25.6, hkl 2 3 1; 32.79°, d 2.731, I = 57.1, hkl 4 0 0; 34.06°, d 2.633, I = 19.3, hkl 3 2 1; 38.73°, d 2.325, I = 25.7, hkl 3 4 1; 42.54°, d 2.125, I = 31.6, hkl 0 0 2

[7]
For ScTl3Ga, the PBE geometry in Alexandria gives the computed XRD peak list in this record (Cu Ka).
Intensities are scaled so that the largest is 100.

Structure:
```
data_ScTl3Ga
_space_group_name_H-M_alt 'P m -3 m'
_space_group_IT_number 221
_space_group_name_Hall '-P 4 2 3'
_cell_length_a 5.6417
_cell_length_b 5.6417
_cell_length_c 5.6417
_cell_angle_alpha 90.00
_cell_angle_beta 90.00
_cell_angle_gamma 90.00
loop_
_atom_site_label
_atom_site_type_symbol
_atom_site_fract_x
_atom_site_fract_y
_atom_site_fract_z
Sc1 Sc 0.0000 0.0000 0.0000
Tl1 Tl 0.0000 0.0000 0.5000
Ga1 Ga 0.5000 0.5000 0.5000
```

The 8 most intense peaks (5° ≤ 2θ ≤ 70°), low angle first:
15.71°, d 5.642, I = 21.0, hkl 1 0 0; 27.38°, d 3.257, I = 100.0, hkl 1 1 1; 31.72°, d 2.821, I = 67.7, hkl 2 0 0; 35.58°, d 2.523, I = 11.3, hkl 2 1 0; 45.47°, d 1.995, I = 50.5, hkl 2 2 0; 53.90°, d 1.701, I = 47.8, hkl 3 1 1; 56.51°, d 1.629, I = 17.7, hkl 2 2 2; 66.27°, d 1.410, I = 8.2, hkl 4 0 0

[8]
For Ti7NbBi2, the PBE geometry in Alexandria gives the computed XRD peak list in this record (Cu Ka).
Intensities are scaled so that the largest is 100.

Structure:
```
data_Ti7NbBi2
_space_group_name_H-M_alt 'F m -3 m'
_space_group_IT_number 225
_space_group_name_Hall '-F 4 2 3'
_cell_length_a 9.5689
_cell_length_b 9.5689
_cell_length_c 9.5689
_cell_angle_alpha 90.00
_cell_angle_beta 90.00
_cell_angle_gamma 90.00
loop_
_atom_site_label
_atom_site_type_symbol
_atom_site_fract_x
_atom_site_fract_y
_atom_site_fract_z
Ti1 Ti 0.0000 0.0000 0.0000
Ti2 Ti 0.0000 0.0000 0.2459
Nb1 Nb 0.0000 0.0000 0.5000
Bi1 Bi 0.2500 0.2500 0.2500
```

The 8 most intense peaks (5° ≤ 2θ ≤ 70°), low angle first:
26.34°, d 3.383, I = 100.0, hkl 2 2 0; 32.41°, d 2.762, I = 57.6, hkl 2 2 2; 37.60°, d 2.392, I = 66.0, hkl 4 0 0; 46.49°, d 1.953, I = 44.8, hkl 4 2 2; 54.23°, d 1.692, I = 44.4, hkl 4 4 0; 61.27°, d 1.513, I = 20.2, hkl 6 2 0; 64.61°, d 1.443, I = 22.9, hkl 6 2 2; 67.86°, d 1.381, I = 14.8, hkl 4 4 4